For Ti3Nb2W2, DFT lattice parameters and positions (GGA-PBE) gives the calculated X-ray diffraction stick pattern in this record (CuKα).

Structural model:
```
data_Ti3Nb2W2
_symmetry_space_group_name_H-M 'P -1'
_symmetry_Int_Tables_number 2
_cell_length_a 2.7996
_cell_length_b 7.0314
_cell_length_c 7.0533
_cell_angle_alpha 117.63
_cell_angle_beta 98.01
_cell_angle_gamma 97.93
loop_
_symmetry_equiv_pos_as_xyz
'x,y,z'
'-x,-y,-z'
loop_
_atom_site_label
_atom_site_fract_x
_atom_site_fract_y
_atom_site_fract_z
Ti1 0.0000 0.0000 0.0000
Ti2 0.1602 0.8486 0.5723
Nb1 0.3067 0.7131 0.1440
W1 0.4403 0.5698 0.7089
```

Largest 10 diffraction maxima, in order of falling intensity, 2θ = 10–80°:
Position (°2θ)  I/Imax  h k l
39.47  100  0 3 -1
39.17  68  0 1 2
14.61  55  0 1 0
39.58  33  1 1 0
57.15  24  1 -1 3
71.17  17  0 4 1
71.75  17  1 4 -1
71.52  16  1 2 2
25.58  14  0 2 -1
56.48  11  -1 3 1

---

For K8NbSnAs5, DFT lattice parameters and positions (GGA-PBE) gives the calculated X-ray diffraction stick pattern in this record (CuKα).

Structural model:
```
data_K8NbSnAs5
_symmetry_space_group_name_H-M 'C 1 2/c 1'
_symmetry_Int_Tables_number 15
_cell_length_a 31.7566
_cell_length_b 9.4713
_cell_length_c 13.5768
_cell_angle_alpha 90.00
_cell_angle_beta 95.37
_cell_angle_gamma 90.00
loop_
_symmetry_equiv_pos_as_xyz
'x,y,z'
'-x,-y,-z'
'-x,y,-z+1/2'
'x,-y,z+1/2'
'x+1/2,y+1/2,z'
'-x+1/2,-y+1/2,-z'
'-x+1/2,y+1/2,-z+1/2'
'x+1/2,-y+1/2,z+1/2'
loop_
_atom_site_label
_atom_site_fract_x
_atom_site_fract_y
_atom_site_fract_z
K1 0.0207 0.1146 0.3957
K2 0.0395 0.4748 0.1184
K3 0.0636 0.1679 0.7075
K4 0.1150 0.4592 0.8972
K5 0.1474 0.1676 0.4565
K6 0.1761 0.0369 0.7144
K7 0.2239 0.3422 0.8315
K8 0.2334 0.4526 0.5551
Nb1 0.1562 0.3419 0.1815
Sn1 0.0908 0.1246 0.0382
As1 0.0302 0.2560 0.9234
As2 0.0922 0.2063 0.2339
As3 0.1407 0.4022 0.6488
As4 0.1748 0.2051 0.0270
As5 0.2148 0.3156 0.3150
```

Largest 10 diffraction maxima, in order of falling intensity, 2θ = 10–80°:
Position (°2θ)  I/Imax  h k l
13.79  100  2 0 -2
11.89  38  1 1 1
29.31  34  6 2 2
33.23  30  8 0 -4
32.56  26  11 1 0
30.05  24  3 1 4
33.87  23  5 3 -2
27.32  23  0 2 3
29.71  23  8 2 -1
11.19  23  4 0 0

---

For K2TlIrF8, DFT lattice parameters and positions (GGA-PBE) gives the calculated X-ray diffraction stick pattern in this record (CuKα).

Structural model:
```
data_K2TlIrF8
_symmetry_space_group_name_H-M 'P -3 m 1'
_symmetry_Int_Tables_number 164
_symmetry_space_group_name_Hall '-P 3 2"'
_cell_length_a 5.3193
_cell_length_b 5.3193
_cell_length_c 8.8883
_cell_angle_alpha 90.00
_cell_angle_beta 90.00
_cell_angle_gamma 120.00
loop_
_atom_site_label
_atom_site_fract_x
_atom_site_fract_y
_atom_site_fract_z
K1 0.3333 0.6667 0.2422
Tl1 0.0000 0.0000 0.0000
Ir1 0.0000 0.0000 0.5000
F1 0.1645 0.3290 0.6337
F2 0.3333 0.6667 0.9589
```

Largest 10 diffraction maxima, in order of falling intensity, 2θ = 10–80°:
Position (°2θ)  I/Imax  h k l
27.90  100  0 1 2
19.27  87  1 0 0
33.70  40  1 1 0
44.29  32  0 2 2
39.49  29  1 1 2
56.79  28  1 2 2
53.76  26  1 1 4
19.98  23  0 0 2
45.31  17  1 0 4
52.56  13  2 1 0

---

For As2PdF8, DFT lattice parameters and positions (GGA-PBE) gives the calculated X-ray diffraction stick pattern in this record (CuKα).

Structural model:
```
data_As2PdF8
_symmetry_space_group_name_H-M 'C 1 2/m 1'
_symmetry_Int_Tables_number 12
_cell_length_a 12.0456
_cell_length_b 6.7945
_cell_length_c 4.7582
_cell_angle_alpha 90.00
_cell_angle_beta 108.08
_cell_angle_gamma 90.00
loop_
_symmetry_equiv_pos_as_xyz
'x,y,z'
'-x,-y,-z'
'-x,y,-z'
'x,-y,z'
'x+1/2,y+1/2,z'
'-x+1/2,-y+1/2,-z'
'-x+1/2,y+1/2,-z'
'x+1/2,-y+1/2,z'
loop_
_atom_site_label
_atom_site_fract_x
_atom_site_fract_y
_atom_site_fract_z
As1 0.1537 0.0000 0.0601
Pd1 0.0000 0.5000 0.0000
F1 0.0584 0.0000 0.2856
F2 0.1300 0.3003 0.0475
F3 0.2241 0.5000 0.6198
```

Largest 10 diffraction maxima, in order of falling intensity, 2θ = 10–80°:
Position (°2θ)  I/Imax  h k l
19.63  100  0 0 1
26.78  62  3 1 0
28.68  47  3 1 -1
26.23  45  0 2 0
37.64  31  3 1 1
20.91  29  2 0 -1
46.63  19  3 3 0
54.14  17  3 3 1
47.83  16  3 3 -1
32.97  14  0 2 1

---

For CeHo3Se4, DFT lattice parameters and positions (GGA-PBE) gives the calculated X-ray diffraction stick pattern in this record (CuKα).

Structural model:
```
data_CeHo3Se4
_symmetry_space_group_name_H-M 'P m -3 m'
_symmetry_Int_Tables_number 221
_symmetry_space_group_name_Hall '-P 4 2 3'
_cell_length_a 5.7879
_cell_length_b 5.7879
_cell_length_c 5.7879
_cell_angle_alpha 90.00
_cell_angle_beta 90.00
_cell_angle_gamma 90.00
loop_
_atom_site_label
_atom_site_fract_x
_atom_site_fract_y
_atom_site_fract_z
Ce1 0.0000 0.0000 0.0000
Ho1 0.0000 0.5000 0.5000
Se1 0.0000 0.0000 0.5000
Se2 0.5000 0.5000 0.5000
```

Largest 8 diffraction maxima, in order of falling intensity, 2θ = 10–80°:
Position (°2θ)  I/Imax  h k l
30.90  100  2 0 0
44.26  74  2 2 0
73.12  33  4 2 0
54.96  26  2 2 2
26.68  20  1 1 1
64.39  12  4 0 0
52.43  10  3 1 1
70.98  4  3 3 1

---

For Mg2Sc3, DFT lattice parameters and positions (GGA-PBE) gives the calculated X-ray diffraction stick pattern in this record (CuKα).

Structural model:
```
data_Mg2Sc3
_symmetry_space_group_name_H-M 'R -3 m'
_symmetry_Int_Tables_number 166
_symmetry_space_group_name_Hall '-R 3 2"'
_cell_length_a 3.2639
_cell_length_b 3.2639
_cell_length_c 39.2060
_cell_angle_alpha 90.00
_cell_angle_beta 90.00
_cell_angle_gamma 120.00
loop_
_atom_site_label
_atom_site_fract_x
_atom_site_fract_y
_atom_site_fract_z
Mg1 0.0000 0.0000 0.1004
Sc1 0.0000 0.0000 0.3002
Sc2 0.0000 0.0000 0.5000
```

Largest 10 diffraction maxima, in order of falling intensity, 2θ = 10–80°:
Position (°2θ)  I/Imax  h k l
33.71  100  0 1 5
39.29  64  1 0 10
34.31  32  0 0 15
67.69  22  1 1 15
56.38  20  1 1 0
57.19  19  0 1 20
67.32  11  2 0 5
68.41  11  1 0 25
13.55  10  0 0 6
70.88  10  0 2 10

---

For Nd2Sm4ErMg, DFT lattice parameters and positions (GGA-PBE) gives the calculated X-ray diffraction stick pattern in this record (CuKα).

Structural model:
```
data_Nd2Sm4ErMg
_symmetry_space_group_name_H-M 'P 4/m m m'
_symmetry_Int_Tables_number 123
_symmetry_space_group_name_Hall '-P 4 2'
_cell_length_a 5.0417
_cell_length_b 5.0417
_cell_length_c 10.1904
_cell_angle_alpha 90.00
_cell_angle_beta 90.00
_cell_angle_gamma 90.00
loop_
_atom_site_label
_atom_site_fract_x
_atom_site_fract_y
_atom_site_fract_z
Nd1 0.0000 0.0000 0.0000
Nd2 0.5000 0.5000 0.5000
Sm1 0.0000 0.5000 0.2488
Er1 0.0000 0.0000 0.5000
Mg1 0.5000 0.5000 0.0000
```

Largest 10 diffraction maxima, in order of falling intensity, 2θ = 10–80°:
Position (°2θ)  I/Imax  h k l
30.61  100  1 1 2
35.61  33  2 0 0
60.88  28  3 1 2
50.96  24  2 0 4
35.23  17  0 0 4
60.37  14  1 1 6
63.72  12  2 2 4
51.25  12  2 2 0
75.42  4  4 0 0
17.59  3  1 0 0